[1]
The following is a simulated XRD peak list of RbTbGaTe3. It was derived from a structure optimized by DFT (GGA-PBE), using Cu Kα, 1.54184 Å.

The 10 most intense peaks (2θ = 10–80°), in order of rising 2θ:
6.674 Å, 13.27 deg, intensity 49
3.825 Å, 23.26 deg, intensity 33
3.364 Å, 26.49 deg, intensity 53
3.220 Å, 27.70 deg, intensity 90
3.089 Å, 28.91 deg, intensity 35
2.867 Å, 31.20 deg, intensity 59
2.783 Å, 32.16 deg, intensity 41
2.714 Å, 33.00 deg, intensity 100
2.524 Å, 35.57 deg, intensity 96
2.300 Å, 39.17 deg, intensity 38

Atomic structure:
Cell lengths 12.2496, 5.0480, 13.3471 Å; angles 90.00, 90.00, 90.00 degrees
Element x y z (fractional)
Rb  0.1848  0.2500  0.0083
Rb  0.3152  0.7500  0.5083
Rb  0.6848  0.2500  0.4917
Rb  0.8152  0.7500  0.9917
Tb  0.0218  0.2500  0.3218
Tb  0.4782  0.7500  0.8218
Tb  0.5218  0.2500  0.1782
Tb  0.9782  0.7500  0.6782
Ga  0.2394  0.2500  0.7201
Ga  0.2606  0.7500  0.2201
Ga  0.7394  0.2500  0.7799
Ga  0.7606  0.7500  0.2799
Te  0.0450  0.7500  0.1721
Te  0.0886  0.2500  0.5618
Te  0.2146  0.7500  0.7977
Te  0.2854  0.2500  0.2977
Te  0.4114  0.7500  0.0618
Te  0.4550  0.2500  0.6721
Te  0.5450  0.7500  0.3279
Te  0.5886  0.2500  0.9382
Te  0.7146  0.7500  0.7023
Te  0.7854  0.2500  0.2023
Te  0.9114  0.7500  0.4382
Te  0.9550  0.2500  0.8279

[2]
The following is a simulated XRD peak list of GaRe. It was derived from a structure optimized by DFT (GGA-PBE), using Cu Kα, 1.54184 Å.

The 10 most intense peaks (2θ = 10–80°), in order of rising 2θ:
2.454 Å, 36.62 deg, intensity 36
2.312 Å, 38.96 deg, intensity 100
2.238 Å, 40.30 deg, intensity 33
2.227 Å, 40.51 deg, intensity 46
2.070 Å, 43.72 deg, intensity 51
1.983 Å, 45.76 deg, intensity 72
1.730 Å, 52.93 deg, intensity 19
1.423 Å, 65.62 deg, intensity 36
1.382 Å, 67.79 deg, intensity 16
1.221 Å, 78.28 deg, intensity 14

Atomic structure:
Cell lengths 9.0566, 9.0566, 9.0566 Å; angles 18.08, 18.08, 18.08 degrees
Element x y z (fractional)
Ga  0.0000  0.0000  0.0000
Ga  0.0935  0.0935  0.0935
Re  0.2522  0.2522  0.2522
Re  0.5084  0.5084  0.5084

[3]
The following is a simulated XRD peak list of Ga4Re. It was derived from a structure optimized by DFT (GGA-PBE), using Cu Kα, 1.54184 Å.

The 10 most intense peaks (2θ = 10–80°), in order of rising 2θ:
4.097 Å, 21.69 deg, intensity 95
2.897 Å, 30.87 deg, intensity 7
2.365 Å, 38.04 deg, intensity 45
2.049 Å, 44.21 deg, intensity 100
1.832 Å, 49.76 deg, intensity 21
1.549 Å, 59.71 deg, intensity 25
1.449 Å, 64.31 deg, intensity 16
1.366 Å, 68.73 deg, intensity 12
1.296 Å, 73.03 deg, intensity 2
1.235 Å, 77.23 deg, intensity 6

Atomic structure:
Cell lengths 5.0178, 5.0178, 5.0178 Å; angles 109.47, 109.47, 109.47 degrees
Element x y z (fractional)
Ga  0.0000  0.0000  0.5000
Ga  0.0000  0.5000  0.0000
Ga  0.5000  0.0000  0.0000
Ga  0.5000  0.5000  0.5000
Re  0.0000  0.0000  0.0000

[4]
The following is a simulated XRD peak list of Ga3Re. It was derived from a structure optimized by DFT (GGA-PBE), using Cu Kα, 1.54184 Å.

The 10 most intense peaks (2θ = 10–80°), in order of rising 2θ:
4.779 Å, 18.56 deg, intensity 77
3.855 Å, 23.07 deg, intensity 39
2.244 Å, 40.19 deg, intensity 100
2.191 Å, 41.20 deg, intensity 22
2.077 Å, 43.57 deg, intensity 18
2.063 Å, 43.89 deg, intensity 39
1.756 Å, 52.10 deg, intensity 15
1.643 Å, 55.97 deg, intensity 11
1.442 Å, 64.61 deg, intensity 11
1.337 Å, 70.43 deg, intensity 19

Atomic structure:
Cell lengths 6.5235, 6.5235, 7.0223 Å; angles 90.00, 90.00, 90.00 degrees
Element x y z (fractional)
Ga  0.0000  0.5000  0.0000
Ga  0.0000  0.5000  0.5000
Ga  0.1660  0.1660  0.2454
Ga  0.1660  0.1660  0.7546
Ga  0.3340  0.6660  0.2546
Ga  0.3340  0.6660  0.7454
Ga  0.5000  0.0000  0.0000
Ga  0.5000  0.0000  0.5000
Ga  0.6660  0.3340  0.2546
Ga  0.6660  0.3340  0.7454
Ga  0.8340  0.8340  0.2454
Ga  0.8340  0.8340  0.7546
Re  0.1422  0.8578  0.0000
Re  0.3578  0.3578  0.5000
Re  0.6422  0.6422  0.5000
Re  0.8578  0.1422  0.0000